# 1
This entry pairs a crystal structure of Tb4GaTe3 with its simulated X-ray diffraction stick pattern. Radiation: Cu Kα X-rays. Structure: a structure optimized by DFT (PBE).

Structure:
```
Tb4GaTe3
1.0
7.5533 0.0000 0.0000
0.0000 8.7246 0.0000
-2.4841 0.0000 7.0654
Tb Ga Te
8 2 6
Direct
0.2288 0.1148 0.0016
0.2288 0.8852 0.5016
0.2341 0.3548 0.4821
0.2341 0.6452 0.9821
0.7659 0.3548 0.0179
0.7659 0.6452 0.5179
0.7712 0.1148 0.4984
0.7712 0.8852 0.9984
0.0000 0.1223 0.2500
0.0000 0.8777 0.7500
0.0000 0.3779 0.7500
0.0000 0.6221 0.2500
0.5000 0.1251 0.7500
0.5000 0.3808 0.2500
0.5000 0.6192 0.7500
0.5000 0.8749 0.2500
```

Top 10 peaks for 15° ≤ 2θ ≤ 90°, in order of falling intensity:
- 29.00 deg, d = 3.079 Å, intensity 100.0
- 41.40 deg, d = 2.181 Å, intensity 54.6
- 29.10 deg, d = 3.069 Å, intensity 50.4
- 41.68 deg, d = 2.167 Å, intensity 37.2
- 51.40 deg, d = 1.778 Å, intensity 18.7
- 41.54 deg, d = 2.174 Å, intensity 18.4
- 68.14 deg, d = 1.376 Å, intensity 15.1
- 67.96 deg, d = 1.379 Å, intensity 14.4
- 75.51 deg, d = 1.259 Å, intensity 12.8
- 60.09 deg, d = 1.540 Å, intensity 11.2


# 2
This entry pairs a crystal structure of RbHgPdCl6 with its simulated X-ray diffraction stick pattern. Radiation: Cu Kα X-rays. Structure: a structure optimized by DFT (PBE).

Structure:
```
RbHgPdCl6
1.0
3.5321 -5.6456 0.0000
3.5321 5.6456 0.0000
-0.4087 0.0000 7.2304
Rb Hg Pd Cl
1 1 1 6
Direct
0.0000 0.0000 0.0000
0.3202 0.6798 0.5000
0.6683 0.3317 0.5000
0.3850 0.3504 0.3094
0.3940 0.0270 0.7137
0.6496 0.6150 0.6906
0.6523 0.0297 0.3108
0.9703 0.3477 0.6892
0.9730 0.6060 0.2863
```

Top 10 peaks for 15° ≤ 2θ ≤ 90°, in order of falling intensity:
- 19.95 deg, d = 4.450 Å, intensity 100.0
- 18.80 deg, d = 4.721 Å, intensity 90.3
- 37.25 deg, d = 2.414 Å, intensity 82.8
- 19.71 deg, d = 4.504 Å, intensity 78.3
- 29.91 deg, d = 2.988 Å, intensity 61.2
- 34.51 deg, d = 2.599 Å, intensity 55.1
- 26.85 deg, d = 3.321 Å, intensity 52.4
- 45.49 deg, d = 1.994 Å, intensity 45.7
- 36.24 deg, d = 2.479 Å, intensity 37.5
- 27.51 deg, d = 3.243 Å, intensity 37.3


# 3
This entry pairs a crystal structure of NdAl3CuAg with its simulated X-ray diffraction stick pattern. Radiation: Cu Kα X-rays. Structure: a structure optimized by DFT (PBE).

Structure:
```
NdAl3CuAg
1.0
3.0432 -6.3121 0.0000
3.0432 6.3121 0.0000
0.0000 0.0000 6.0928
Nd Al Cu Ag
2 6 2 2
Direct
0.2108 0.7892 0.7500
0.7892 0.2108 0.2500
0.2159 0.2159 0.0000
0.2159 0.2159 0.5000
0.3662 0.6338 0.2500
0.6338 0.3662 0.7500
0.7841 0.7841 0.0000
0.7841 0.7841 0.5000
0.4292 0.5708 0.7500
0.5708 0.4292 0.2500
0.1531 0.8469 0.2500
0.8469 0.1531 0.7500
```

Top 10 peaks for 15° ≤ 2θ ≤ 90°, in order of falling intensity:
- 29.33 deg, d = 3.045 Å, intensity 100.0
- 41.96 deg, d = 2.153 Å, intensity 66.4
- 25.74 deg, d = 3.461 Å, intensity 54.4
- 32.65 deg, d = 2.742 Å, intensity 52.0
- 41.46 deg, d = 2.178 Å, intensity 48.3
- 39.40 deg, d = 2.287 Å, intensity 44.3
- 60.46 deg, d = 1.531 Å, intensity 30.2
- 38.61 deg, d = 2.332 Å, intensity 23.9
- 60.84 deg, d = 1.522 Å, intensity 20.9
- 49.20 deg, d = 1.852 Å, intensity 18.9


# 4
This entry pairs a crystal structure of Pr7Sm4Hg with its simulated X-ray diffraction stick pattern. Radiation: Cu Kα X-rays. Structure: a structure optimized by DFT (PBE).

Structure:
```
Pr7Sm4Hg
1.0
3.7018 0.0000 0.0000
-1.8509 3.2058 0.0000
0.0000 0.0000 34.9849
Pr Sm Hg
7 4 1
Direct
0.0000 0.0000 0.0000
0.0000 0.0000 0.2576
0.0000 0.0000 0.7424
0.3333 0.6667 0.1706
0.3333 0.6667 0.4275
0.6667 0.3333 0.5725
0.6667 0.3333 0.8294
0.3333 0.6667 0.6569
0.3333 0.6667 0.9146
0.6667 0.3333 0.0854
0.6667 0.3333 0.3431
0.0000 0.0000 0.5000
```

Top 10 peaks for 15° ≤ 2θ ≤ 90°, in order of falling intensity:
- 29.68 deg, d = 3.010 Å, intensity 100.0
- 34.70 deg, d = 2.586 Å, intensity 60.7
- 30.67 deg, d = 2.915 Å, intensity 26.1
- 49.23 deg, d = 1.851 Å, intensity 25.6
- 59.12 deg, d = 1.563 Å, intensity 22.7
- 79.91 deg, d = 1.200 Å, intensity 15.0
- 58.54 deg, d = 1.577 Å, intensity 14.7
- 50.53 deg, d = 1.806 Å, intensity 14.4
- 61.63 deg, d = 1.505 Å, intensity 11.5
- 82.63 deg, d = 1.168 Å, intensity 10.1